No. 1
Structure and calculated PXRD pattern of TbZnCdAu2 (a GGA-PBE-relaxed structure; Cu Ka).

```
TbZnCdAu2
1.0
2.778 -7.051 0.000
2.778 7.051 0.000
0.000 0.000 5.546
Tb Zn Cd Au
2 2 2 4
Direct
0.250 0.750 0.751
0.750 0.250 0.249
0.000 0.000 0.500
0.500 0.500 0.500
0.250 0.250 0.000
0.750 0.750 0.000
0.152 0.848 0.254
0.348 0.652 0.254
0.652 0.348 0.746
0.848 0.152 0.746
```

Largest 12 diffraction maxima, sorted by position, 10 to 90 degrees two-theta:
| d_spacing | I_rel |
| --- | --- |
| 3.781 | 32.9 |
| 3.013 | 47.9 |
| 2.776 | 54.9 |
| 2.582 | 77.7 |
| 2.290 | 100.0 |
| 2.180 | 21.2 |
| 1.962 | 36.8 |
| 1.793 | 17.4 |
| 1.644 | 16.3 |
| 1.490 | 52.4 |
| 1.257 | 21.8 |
| 1.187 | 12.7 |

---

No. 2
Structure and calculated PXRD pattern of AcPrDyTl (a GGA-PBE-relaxed structure; Cu Ka).

```
AcPrDyTl
1.0
8.054 0.000 0.000
0.000 8.054 0.000
0.000 0.000 8.054
Ac Pr Dy Tl
4 4 4 4
Direct
0.000 0.000 0.000
0.000 0.500 0.500
0.500 0.000 0.500
0.500 0.500 0.000
0.250 0.250 0.250
0.250 0.750 0.750
0.750 0.250 0.750
0.750 0.750 0.250
0.250 0.250 0.750
0.250 0.750 0.250
0.750 0.250 0.250
0.750 0.750 0.750
0.000 0.000 0.500
0.000 0.500 0.000
0.500 0.000 0.000
0.500 0.500 0.500
```

Largest 10 diffraction maxima, sorted by position, 10 to 90 degrees two-theta:
| d_spacing | I_rel |
| --- | --- |
| 4.027 | 3.0 |
| 2.848 | 100.0 |
| 2.325 | 1.0 |
| 2.014 | 18.8 |
| 1.801 | 1.5 |
| 1.644 | 39.9 |
| 1.424 | 12.4 |
| 1.342 | 0.8 |
| 1.273 | 17.2 |
| 1.163 | 4.4 |

---

No. 3
Structure and calculated PXRD pattern of Ba2In6GaAg (a GGA-PBE-relaxed structure; Cu Ka).

```
Ba2In6GaAg
1.0
3.705 2.139 12.958
-3.705 2.139 12.958
0.000 -4.278 12.958
Ba In Ga Ag
4 12 2 2
Direct
0.127 0.127 0.127
0.301 0.301 0.301
0.699 0.699 0.699
0.873 0.873 0.873
0.061 0.653 0.653
0.221 0.221 0.702
0.221 0.702 0.221
0.298 0.779 0.779
0.347 0.347 0.939
0.347 0.939 0.347
0.653 0.061 0.653
0.653 0.653 0.061
0.702 0.221 0.221
0.779 0.298 0.779
0.779 0.779 0.298
0.939 0.347 0.347
0.430 0.430 0.430
0.570 0.570 0.570
0.000 0.000 0.000
0.500 0.500 0.500
```

Largest 12 diffraction maxima, sorted by position, 10 to 90 degrees two-theta:
| d_spacing | I_rel |
| --- | --- |
| 3.705 | 21.1 |
| 3.240 | 41.7 |
| 3.166 | 14.7 |
| 2.966 | 93.7 |
| 2.778 | 100.0 |
| 2.474 | 25.4 |
| 2.407 | 21.1 |
| 2.100 | 18.6 |
| 1.862 | 18.9 |
| 1.852 | 46.2 |
| 1.608 | 20.4 |
| 1.541 | 14.5 |

---

No. 4
Structure and calculated PXRD pattern of Cs2AgPb (a GGA-PBE-relaxed structure; Cu Ka).

```
Cs2AgPb
1.0
12.366 0.000 0.000
0.000 7.266 0.000
-2.071 0.000 4.620
Cs Ag Pb
4 2 2
Direct
0.190 0.000 0.191
0.310 0.500 0.809
0.690 0.500 0.191
0.810 0.000 0.809
0.000 0.675 0.500
0.500 0.175 0.500
0.000 0.500 0.000
0.500 0.000 0.000
```

Largest 12 diffraction maxima, sorted by position, 10 to 90 degrees two-theta:
| d_spacing | I_rel |
| --- | --- |
| 6.109 | 28.2 |
| 4.619 | 14.9 |
| 3.633 | 20.3 |
| 3.343 | 100.0 |
| 2.856 | 37.6 |
| 2.532 | 15.7 |
| 2.337 | 9.9 |
| 2.077 | 8.8 |
| 2.037 | 30.8 |
| 2.018 | 24.3 |
| 1.793 | 18.4 |
| 1.336 | 8.6 |

---

No. 5
Structure and calculated PXRD pattern of Dy2Al4Pd3Pt (a GGA-PBE-relaxed structure; Cu Ka).

```
Dy2Al4Pd3Pt
1.0
4.277 0.000 0.000
0.000 4.277 0.000
0.000 0.000 10.193
Dy Al Pd Pt
2 4 3 1
Direct
0.000 0.500 0.247
0.500 0.000 0.753
0.000 0.000 0.500
0.000 0.500 0.873
0.500 0.000 0.127
0.500 0.500 0.500
0.000 0.000 0.000
0.000 0.500 0.633
0.500 0.000 0.367
0.500 0.500 0.000
```

Largest 12 diffraction maxima, sorted by position, 10 to 90 degrees two-theta:
| d_spacing | I_rel |
| --- | --- |
| 3.398 | 13.7 |
| 3.276 | 14.0 |
| 2.900 | 33.4 |
| 2.660 | 53.1 |
| 2.601 | 100.0 |
| 2.139 | 52.2 |
| 1.840 | 22.5 |
| 1.667 | 26.0 |
| 1.512 | 17.3 |
| 1.481 | 13.4 |
| 1.395 | 18.0 |
| 1.307 | 23.3 |

---

No. 6
Structure and calculated PXRD pattern of Ho4Si2Br5 (a GGA-PBE-relaxed structure; Cu Ka).

```
Ho4Si2Br5
1.0
-2.050 3.900 9.921
2.050 -3.900 9.921
2.050 3.900 -9.921
Ho Si Br
4 2 5
Direct
0.189 0.189 0.000
0.216 0.500 0.716
0.784 0.500 0.284
0.811 0.811 0.000
0.057 0.057 0.000
0.943 0.943 0.000
0.090 0.323 0.767
0.445 0.677 0.767
0.500 0.000 0.500
0.555 0.323 0.233
0.910 0.677 0.233
```

Largest 12 diffraction maxima, sorted by position, 10 to 90 degrees two-theta:
| d_spacing | I_rel |
| --- | --- |
| 7.259 | 22.6 |
| 5.045 | 27.0 |
| 4.961 | 25.8 |
| 3.629 | 23.1 |
| 3.408 | 45.6 |
| 3.307 | 64.4 |
| 2.797 | 99.9 |
| 2.420 | 28.9 |
| 2.302 | 100.0 |
| 2.049 | 52.7 |
| 1.742 | 20.4 |
| 1.521 | 31.9 |

---

No. 7
Structure and calculated PXRD pattern of Ac2Zn2InPd5 (a GGA-PBE-relaxed structure; Cu Ka).

```
Ac2Zn2InPd5
1.0
10.270 0.000 0.000
0.000 10.270 0.000
0.000 0.000 3.849
Ac Zn In Pd
4 4 2 10
Direct
0.180 0.320 0.000
0.320 0.820 0.000
0.680 0.180 0.000
0.820 0.680 0.000
0.116 0.616 0.000
0.384 0.116 0.000
0.616 0.884 0.000
0.884 0.384 0.000
0.000 0.000 0.000
0.500 0.500 0.000
0.000 0.500 0.500
0.062 0.788 0.500
0.212 0.062 0.500
0.288 0.562 0.500
0.438 0.288 0.500
0.500 0.000 0.500
0.562 0.712 0.500
0.712 0.438 0.500
0.788 0.938 0.500
0.938 0.212 0.500
```

Largest 12 diffraction maxima, sorted by position, 10 to 90 degrees two-theta:
| d_spacing | I_rel |
| --- | --- |
| 3.080 | 12.6 |
| 2.950 | 49.5 |
| 2.641 | 38.6 |
| 2.491 | 72.4 |
| 2.482 | 100.0 |
| 2.421 | 21.9 |
| 2.297 | 14.4 |
| 2.290 | 39.7 |
| 1.925 | 27.1 |
| 1.523 | 31.9 |
| 1.481 | 15.8 |
| 1.210 | 11.9 |

---

No. 8
Structure and calculated PXRD pattern of Zn2Cr2Rh3 (a GGA-PBE-relaxed structure; Cu Ka).

```
Zn2Cr2Rh3
1.0
4.261 0.000 0.000
-2.125 3.702 0.000
-2.114 -1.230 6.634
Zn Cr Rh
2 2 3
Direct
0.239 0.369 0.107
0.761 0.631 0.893
0.277 0.888 0.667
0.723 0.112 0.333
0.023 0.762 0.284
0.500 0.500 0.500
0.977 0.238 0.716
```

Largest 12 diffraction maxima, sorted by position, 10 to 90 degrees two-theta:
| d_spacing | I_rel |
| --- | --- |
| 6.634 | 25.5 |
| 3.634 | 22.0 |
| 3.465 | 16.5 |
| 2.253 | 53.5 |
| 2.136 | 100.0 |
| 2.130 | 49.6 |
| 2.065 | 70.9 |
| 2.061 | 35.1 |
| 1.484 | 23.4 |
| 1.481 | 11.6 |
| 1.219 | 17.7 |
| 1.128 | 13.0 |

---

No. 9
Structure and calculated PXRD pattern of MnTe6Pd5 (a GGA-PBE-relaxed structure; Cu Ka).

```
MnTe6Pd5
1.0
3.441 -5.892 0.000
3.441 5.892 0.000
-2.253 0.000 6.539
Mn Te Pd
1 6 5
Direct
0.000 0.000 0.000
0.084 0.419 0.248
0.251 0.251 0.743
0.419 0.084 0.248
0.581 0.916 0.752
0.749 0.749 0.257
0.916 0.581 0.752
0.167 0.833 0.500
0.334 0.666 0.000
0.500 0.500 0.500
0.666 0.334 0.000
0.833 0.167 0.500
```

Largest 12 diffraction maxima, sorted by position, 10 to 90 degrees two-theta:
| d_spacing | I_rel |
| --- | --- |
| 2.806 | 100.0 |
| 2.003 | 12.5 |
| 1.988 | 24.3 |
| 1.981 | 24.1 |
| 1.964 | 11.7 |
| 1.635 | 6.4 |
| 1.627 | 6.4 |
| 1.609 | 12.2 |
| 1.402 | 7.7 |
| 1.264 | 5.4 |
| 1.257 | 10.5 |
| 1.253 | 5.2 |

---

No. 10
Structure and calculated PXRD pattern of CrIn2Pb (a GGA-PBE-relaxed structure; Cu Ka).

```
CrIn2Pb
1.0
3.344 0.000 0.000
-1.672 2.896 0.000
0.000 0.000 30.957
Cr In Pb
3 6 3
Direct
0.000 0.000 0.000
0.333 0.667 0.667
0.667 0.333 0.333
0.000 0.000 0.263
0.000 0.000 0.510
0.333 0.667 0.177
0.333 0.667 0.930
0.667 0.333 0.597
0.667 0.333 0.844
0.000 0.000 0.745
0.333 0.667 0.411
0.667 0.333 0.078
```

Largest 12 diffraction maxima, sorted by position, 10 to 90 degrees two-theta:
| d_spacing | I_rel |
| --- | --- |
| 5.159 | 13.3 |
| 3.440 | 16.8 |
| 2.846 | 10.8 |
| 2.712 | 100.0 |
| 2.623 | 14.3 |
| 2.580 | 20.2 |
| 2.318 | 56.3 |
| 1.839 | 12.9 |
| 1.672 | 24.0 |
| 1.423 | 13.4 |
| 1.403 | 17.7 |
| 1.356 | 10.0 |

---

No. 11
Structure and calculated PXRD pattern of Ce3Pm5P8 (a GGA-PBE-relaxed structure; Cu Ka).

```
Ce3Pm5P8
1.0
4.113 2.375 6.716
-4.113 2.375 6.716
0.000 -4.749 6.716
Ce Pm P
3 5 8
Direct
0.000 0.500 0.500
0.500 0.000 0.500
0.500 0.500 0.000
0.000 0.000 0.000
0.000 0.000 0.500
0.000 0.500 0.000
0.500 0.000 0.000
0.500 0.500 0.500
0.250 0.250 0.746
0.250 0.746 0.250
0.252 0.252 0.252
0.254 0.750 0.750
0.746 0.250 0.250
0.748 0.748 0.748
0.750 0.254 0.750
0.750 0.750 0.254
```

Largest 10 diffraction maxima, sorted by position, 10 to 90 degrees two-theta:
| d_spacing | I_rel |
| --- | --- |
| 3.358 | 79.5 |
| 2.908 | 100.0 |
| 2.056 | 73.1 |
| 1.754 | 39.1 |
| 1.679 | 25.6 |
| 1.454 | 11.9 |
| 1.334 | 15.8 |
| 1.301 | 32.7 |
| 1.187 | 24.7 |
| 1.119 | 12.3 |

---

No. 12
Structure and calculated PXRD pattern of YHfMg6O8 (a GGA-PBE-relaxed structure; Cu Ka).

```
YHfMg6O8
1.0
4.433 0.000 0.000
0.000 4.433 0.000
0.000 0.000 9.000
Y Hf Mg O
1 1 6 8
Direct
0.000 0.000 0.000
0.500 0.500 0.000
0.000 0.000 0.500
0.000 0.500 0.268
0.000 0.500 0.732
0.500 0.000 0.268
0.500 0.000 0.732
0.500 0.500 0.500
0.000 0.000 0.268
0.000 0.000 0.732
0.000 0.500 0.000
0.000 0.500 0.500
0.500 0.000 0.000
0.500 0.000 0.500
0.500 0.500 0.263
0.500 0.500 0.737
```

Largest 12 diffraction maxima, sorted by position, 10 to 90 degrees two-theta:
| d_spacing | I_rel |
| --- | --- |
| 4.500 | 50.8 |
| 3.135 | 40.1 |
| 3.000 | 28.1 |
| 2.960 | 72.2 |
| 2.572 | 83.7 |
| 2.250 | 49.6 |
| 2.217 | 100.0 |
| 2.167 | 24.9 |
| 1.579 | 59.8 |
| 1.567 | 30.7 |
| 1.339 | 26.1 |
| 1.286 | 31.1 |